Theoretical X-ray powder pattern of Nd3Sm6DyY2 for a wavelength of 1.5418 Å, from a cell relaxed with PBE.
Lines closer than 0.1° are merged.

Top 10 peaks for 2θ from 15° to 90°, by intensity:
(1 3 1), 30.2 deg, rel. 100
(2 0 2), 35.0 deg, rel. 51
(4 0 0), 59.8 deg, rel. 43
(0 6 0), 50.3 deg, rel. 36
(2 6 2), 62.7 deg, rel. 9
(4 6 0), 81.8 deg, rel. 9
(2 6 6), 81.9 deg, rel. 9
(5 3 1), 84.4 deg, rel. 8
(3 3 7), 84.5 deg, rel. 8
(4 0 4), 73.9 deg, rel. 6

Cell and atoms:
abc: 6.2855 10.8870 12.0124
angles: 90.00 100.04 90.00
Space group C2/m (No. 12)
Asymmetric unit:
Nd: 0.0000 0.0000 0.0000 (multiplicity 2)
Nd: 0.0000 0.3332 0.0000 (multiplicity 4)
Sm: 0.2487 0.3337 0.7465 (multiplicity 8)
Sm: 0.2499 0.0000 0.7467 (multiplicity 4)
Dy: 0.0000 0.5000 0.5000 (multiplicity 2)
Y: 0.0000 0.1666 0.5000 (multiplicity 4)

---

Theoretical X-ray powder pattern of Nd2Sm2Dy4Y for a wavelength of 1.5418 Å, from a cell relaxed with PBE.
Lines closer than 0.1° are merged.

Top 10 peaks for 2θ from 15° to 90°, by intensity:
(3 1 -2), 31.6 deg, rel. 100
(3 1 1), 33.3 deg, rel. 91
(0 0 3), 30.9 deg, rel. 52
(9 1 1), 60.2 deg, rel. 47
(0 2 0), 50.3 deg, rel. 40
(6 0 -1), 28.6 deg, rel. 33
(6 0 -2), 29.2 deg, rel. 26
(3 1 -5), 54.3 deg, rel. 21
(3 1 4), 57.5 deg, rel. 20
(9 1 4), 85.8 deg, rel. 19

Cell and atoms:
abc: 18.8368 3.6293 9.6504
angles: 90.00 115.73 90.00
Space group C2/m (No. 12)
Asymmetric unit:
Nd: 0.1657 0.0000 0.0006 (multiplicity 4)
Sm: 0.1473 0.5000 0.6635 (multiplicity 4)
Dy: 0.0193 0.0000 0.3336 (multiplicity 4)
Dy: 0.1851 0.5000 0.3356 (multiplicity 4)
Y: 0.0000 0.5000 0.0000 (multiplicity 2)

---

Theoretical X-ray powder pattern of NdSmDyY for a wavelength of 1.5418 Å, from a cell relaxed with PBE.
Lines closer than 0.1° are merged.

Top 10 peaks for 2θ from 15° to 90°, by intensity:
(1 1 2), 30.4 deg, rel. 100
(2 0 0), 35.1 deg, rel. 34
(3 1 2), 60.1 deg, rel. 29
(2 0 4), 50.7 deg, rel. 24
(0 0 4), 35.3 deg, rel. 17
(1 1 6), 60.4 deg, rel. 14
(2 2 4), 63.1 deg, rel. 12
(2 2 0), 50.5 deg, rel. 12
(3 1 6), 82.5 deg, rel. 12
(3 3 2), 82.2 deg, rel. 6

Cell and atoms:
abc: 5.1111 5.1111 10.1605
angles: 90.00 90.00 90.00
Space group I-4m2 (No. 119)
Asymmetric unit:
Nd: 0.0000 0.0000 0.0000 (multiplicity 2)
Sm: 0.0000 0.5000 0.2500 (multiplicity 2)
Dy: 0.0000 0.5000 0.7500 (multiplicity 2)
Y: 0.0000 0.0000 0.5000 (multiplicity 2)

---

Theoretical X-ray powder pattern of Nd3SmDyY for a wavelength of 1.5418 Å, from a cell relaxed with PBE.
Lines closer than 0.1° are merged.

Top 10 peaks for 2θ from 15° to 90°, by intensity:
(1 3 2), 31.4 deg, rel. 100
(2 0 0), 30.3 deg, rel. 33
(0 0 4), 30.1 deg, rel. 27
(3 3 2), 54.6 deg, rel. 21
(2 0 4), 43.3 deg, rel. 20
(1 3 6), 54.3 deg, rel. 13
(0 2 3), 27.2 deg, rel. 8
(2 6 0), 56.8 deg, rel. 7
(0 0 8), 62.5 deg, rel. 7
(2 6 4), 65.6 deg, rel. 6

Cell and atoms:
abc: 5.8902 11.6599 11.8793
angles: 90.00 90.00 90.00
Space group Cmcm (No. 63)
Asymmetric unit:
Nd: 0.0000 0.1309 0.2500 (multiplicity 4)
Nd: 0.0000 0.3291 0.0324 (multiplicity 8)
Sm: 0.0000 0.4736 0.7500 (multiplicity 4)
Dy: 0.0000 0.0000 0.0000 (multiplicity 4)
Y: 0.0000 0.1704 0.7500 (multiplicity 4)